[1]
The following is a simulated XRD peak list of PuTl2RuO6. It was derived from a crystal structure in Alexandria, relaxed with GGA-PBE, using Cu Kα.
Peak positions follow from Bragg's law for the DFT cell and can differ from measured ones.

Main lines, in order of rising 2θ (10° ≤ 2θ ≤ 80°):
2θ = 17.93°, rel. 17; 2θ = 26.37°, rel. 100; 2θ = 27.63°, rel. 23; 2θ = 29.08°, rel. 94; 2θ = 30.46°, rel. 40; 2θ = 30.83°, rel. 29; 2θ = 35.00°, rel. 27; 2θ = 43.87°, rel. 27; 2θ = 47.07°, rel. 33; 2θ = 51.70°, rel. 19

Structural model:
Cell lengths 6.7405, 6.7405, 5.1758 Å; angles 105.35, 105.35, 51.62 degrees
Element x y z (fractional)
Pu  0.0000  0.0000  0.0000
Tl  0.2852  0.2852  0.7935
Tl  0.7148  0.7148  0.2065
Ru  0.5000  0.5000  0.5000
O  0.1489  0.1489  0.2341
O  0.2191  0.6737  0.2322
O  0.3263  0.7809  0.7678
O  0.6737  0.2191  0.2322
O  0.7809  0.3263  0.7678
O  0.8511  0.8511  0.7659

[2]
The following is a simulated XRD peak list of Li2PmSm2Si2. It was derived from a crystal structure in Alexandria, relaxed with GGA-PBE, using Cu Kα.
Peak positions follow from Bragg's law for the DFT cell and can differ from measured ones.

Main lines, in order of rising 2θ (10° ≤ 2θ ≤ 80°):
2θ = 23.08°, rel. 100; 2θ = 32.47°, rel. 61; 2θ = 34.93°, rel. 72; 2θ = 40.12°, rel. 53; 2θ = 46.79°, rel. 15; 2θ = 50.51°, rel. 17; 2θ = 52.53°, rel. 16; 2θ = 54.23°, rel. 20; 2θ = 65.98°, rel. 20; 2θ = 69.56°, rel. 19

Structural model:
Cell lengths 9.4787, 9.4787, 9.4787 Å; angles 27.43, 27.43, 27.43 degrees
Element x y z (fractional)
Li  0.1000  0.1000  0.1000
Li  0.9000  0.9000  0.9000
Pm  0.5000  0.5000  0.5000
Sm  0.3729  0.3729  0.3729
Sm  0.6271  0.6271  0.6271
Si  0.2366  0.2366  0.2366
Si  0.7634  0.7634  0.7634

[3]
The following is a simulated XRD peak list of Ho5GeTe4. It was derived from a crystal structure in Alexandria, relaxed with GGA-PBE, using Cu Kα.
Peak positions follow from Bragg's law for the DFT cell and can differ from measured ones.

Main lines, in order of rising 2θ (10° ≤ 2θ ≤ 80°):
2θ = 29.23°, rel. 100; 2θ = 29.49°, rel. 51; 2θ = 41.82°, rel. 35; 2θ = 42.00°, rel. 75; 2θ = 51.99°, rel. 37; 2θ = 68.70°, rel. 13; 2θ = 68.84°, rel. 14; 2θ = 69.23°, rel. 17; 2θ = 76.49°, rel. 19; 2θ = 76.87°, rel. 12

Structural model:
Cell lengths 7.4728, 7.4728, 7.4728 Å; angles 99.46, 99.46, 132.17 degrees
Element x y z (fractional)
Ho  0.0000  0.0000  0.0000
Ho  0.2262  0.4026  0.6288
Ho  0.4026  0.7738  0.1764
Ho  0.5974  0.2262  0.8236
Ho  0.7738  0.5974  0.3712
Ge  0.5000  0.5000  0.0000
Te  0.0916  0.6935  0.7851
Te  0.3065  0.0916  0.3981
Te  0.6935  0.9084  0.6019
Te  0.9084  0.3065  0.2149

[4]
The following is a simulated XRD peak list of KTl4Hg3. It was derived from a crystal structure in Alexandria, relaxed with GGA-PBE, using Cu Kα.
Peak positions follow from Bragg's law for the DFT cell and can differ from measured ones.

Main lines, in order of rising 2θ (10° ≤ 2θ ≤ 80°):
2θ = 19.26°, rel. 45; 2θ = 24.73°, rel. 18; 2θ = 25.84°, rel. 27; 2θ = 30.20°, rel. 36; 2θ = 34.52°, rel. 69; 2θ = 36.42°, rel. 100; 2θ = 40.07°, rel. 16; 2θ = 49.63°, rel. 25; 2θ = 63.10°, rel. 42; 2θ = 66.75°, rel. 16

Structural model:
Cell lengths 5.1959, 5.1959, 9.9853 Å; angles 90.00, 90.00, 90.00 degrees
Element x y z (fractional)
K  0.0000  0.0000  0.0000
Tl  0.0000  0.5000  0.3240
Tl  0.0000  0.5000  0.6760
Tl  0.5000  0.0000  0.3240
Tl  0.5000  0.0000  0.6760
Hg  0.0000  0.0000  0.5000
Hg  0.5000  0.5000  0.1455
Hg  0.5000  0.5000  0.8545

[5]
The following is a simulated XRD peak list of Fe4Ni4Rh5. It was derived from a crystal structure in Alexandria, relaxed with GGA-PBE, using Cu Kα.
Peak positions follow from Bragg's law for the DFT cell and can differ from measured ones.

Main lines, in order of rising 2θ (10° ≤ 2θ ≤ 80°):
2θ = 13.20°, rel. 3; 2θ = 18.72°, rel. 2; 2θ = 25.88°, rel. 2; 2θ = 26.59°, rel. 2; 2θ = 32.13°, rel. 6; 2θ = 42.18°, rel. 100; 2θ = 48.98°, rel. 31; 2θ = 49.32°, rel. 16; 2θ = 71.79°, rel. 9; 2θ = 72.06°, rel. 19

Structural model:
Cell lengths 6.9547, 6.9547, 6.9547 Å; angles 94.05, 94.05, 149.19 degrees
Element x y z (fractional)
Fe  0.1477  0.7643  0.9119
Fe  0.2357  0.1477  0.3834
Fe  0.7643  0.8523  0.6166
Fe  0.8523  0.2357  0.0881
Ni  0.0758  0.3908  0.4666
Ni  0.3908  0.9242  0.3151
Ni  0.6092  0.0758  0.6849
Ni  0.9242  0.6092  0.5334
Rh  0.0000  0.0000  0.0000
Rh  0.2987  0.5431  0.8419
Rh  0.4569  0.2987  0.7556
Rh  0.5431  0.7013  0.2444
Rh  0.7013  0.4569  0.1581

[6]
The following is a simulated XRD peak list of BaCaAc. It was derived from a crystal structure in Alexandria, relaxed with GGA-PBE, using Cu Kα.
Peak positions follow from Bragg's law for the DFT cell and can differ from measured ones.

Main lines, in order of rising 2θ (10° ≤ 2θ ≤ 80°):
2θ = 25.22°, rel. 36; 2θ = 26.12°, rel. 67; 2θ = 26.49°, rel. 56; 2θ = 27.12°, rel. 92; 2θ = 29.92°, rel. 100; 2θ = 31.66°, rel. 31; 2θ = 34.62°, rel. 30; 2θ = 44.12°, rel. 48; 2θ = 50.70°, rel. 25; 2θ = 52.20°, rel. 53

Structural model:
Cell lengths 20.3255, 20.3255, 20.3255 Å; angles 11.59, 11.59, 11.59 degrees
Element x y z (fractional)
Ba  0.1355  0.1355  0.1355
Ba  0.8645  0.8645  0.8645
Ca  0.4124  0.4124  0.4124
Ca  0.5876  0.5876  0.5876
Ac  0.3075  0.3075  0.3075
Ac  0.6925  0.6925  0.6925